# 1
# Ca2CrSbO6
Computed X-ray powder pattern, Cu Kα, 1.54184 Å. Input: a cell relaxed with PBE+U.
Kinematic intensities with the Lorentz-polarization factor, no thermal factor.

Structural model:
a = 5.4771 Å, b = 5.6015 Å, c = 9.5127 Å
α = 90.00°, β = 124.94°, γ = 90.00°
Positions (direct):
Ca1 0.2370 0.0495 0.2491
Ca2 0.2370 0.4505 0.7491
Ca3 0.7630 0.5495 0.2509
Ca4 0.7630 0.9505 0.7509
Cr1 0.0000 0.0000 0.5000
Cr2 0.0000 0.5000 0.0000
Sb1 0.5000 0.0000 0.0000
Sb2 0.5000 0.5000 0.5000
O1 0.1571 0.2028 0.9527
O2 0.1571 0.2972 0.4527
O3 0.2505 0.7073 0.9504
O4 0.2505 0.7927 0.4504
O5 0.3447 0.0306 0.7515
O6 0.3447 0.4694 0.2515
O7 0.6553 0.5306 0.7485
O8 0.6553 0.9694 0.2485
O9 0.7495 0.2073 0.5496
O10 0.7495 0.2927 0.0496
O11 0.8429 0.7028 0.5473
O12 0.8429 0.7972 0.0473

Peak list (10 most intense, 10 to 90 degrees two-theta, most intense first)
d/Å	I/Imax
2.763	100
3.911	49
1.958	31
2.801	25
2.739	23
1.584	18
1.610	17
1.950	17
4.550	16
4.480	15

---

# 2
# Ca2CrSbO6
Computed X-ray powder pattern, Cu Kα, 1.54184 Å. Input: a cell relaxed with PBE+U.
Kinematic intensities with the Lorentz-polarization factor, no thermal factor.

Structural model:
a = 5.4529 Å, b = 7.8395 Å, c = 5.6016 Å
α = 90.00°, β = 90.01°, γ = 90.00°
Positions (direct):
Ca1 0.0041 0.2500 0.0406
Ca2 0.4843 0.2500 0.5652
Ca3 0.5157 0.7500 0.4348
Ca4 0.9959 0.7500 0.9594
Cr1 0.5000 0.0000 0.0000
Cr2 0.5000 0.5000 0.0000
Sb1 0.0000 0.0000 0.5000
Sb2 0.0000 0.5000 0.5000
O1 0.0974 0.7500 0.5300
O2 0.1957 0.0487 0.7923
O3 0.1957 0.4513 0.7923
O4 0.2948 0.0482 0.3026
O5 0.2948 0.4518 0.3026
O6 0.4143 0.7500 0.0283
O7 0.5857 0.2500 0.9717
O8 0.7052 0.5482 0.6974
O9 0.7052 0.9518 0.6974
O10 0.8043 0.5487 0.2077
O11 0.8043 0.9513 0.2077
O12 0.9026 0.2500 0.4700

Peak list (10 most intense, 10 to 90 degrees two-theta, most intense first)
d/Å	I/Imax
2.767	100
3.911	50
1.954	30
2.801	25
1.582	25
2.726	23
1.960	17
1.611	16
1.384	15
5.602	12

---

# 3
# CaCrSi2O6
Computed X-ray powder pattern, Cu Kα, 1.54184 Å. Input: a cell relaxed with PBE+U.
Kinematic intensities with the Lorentz-polarization factor, no thermal factor.

Structural model:
a = 6.9002 Å, b = 6.9002 Å, c = 5.3080 Å
α = 102.08°, β = 102.08°, γ = 85.98°
Positions (direct):
Ca1 0.2013 0.7987 0.7500
Ca2 0.7987 0.2013 0.2500
Cr1 0.4045 0.5955 0.2500
Cr2 0.5955 0.4045 0.7500
Si1 0.1227 0.3057 0.7700
Si2 0.3057 0.1227 0.2700
Si3 0.6943 0.8773 0.7300
Si4 0.8773 0.6943 0.2300
O1 0.1016 0.6237 0.3269
O2 0.1371 0.1735 0.0067
O3 0.1735 0.1371 0.5067
O4 0.2878 0.4774 0.8601
O5 0.3763 0.8984 0.1731
O6 0.4774 0.2878 0.3601
O7 0.5226 0.7122 0.6399
O8 0.6237 0.1016 0.8269
O9 0.7122 0.5226 0.1399
O10 0.8265 0.8629 0.4933
O11 0.8629 0.8265 0.9933
O12 0.8984 0.3763 0.6731

Peak list (10 most intense, 10 to 90 degrees two-theta, most intense first)
d/Å	I/Imax
3.111	100
2.583	39
3.050	35
2.679	34
2.543	33
2.227	22
1.847	18
1.465	17
1.653	16
6.745	16